Simulated X-ray powder pattern of Th4BSe3 for Cu Kα (weighted mean of Kα1 and Kα2), from DFT lattice parameters and positions (GGA-PBE).

Cell and atoms:
Cell lengths 7.2603, 7.2603, 4.0964 Å; angles 90.00, 90.00, 108.64 degrees
Atoms (fractional coordinates):
Th: 0.2172 0.2172 0.5000
Th: 0.2318 0.7682 0.0000
Th: 0.7682 0.2318 0.0000
Th: 0.7828 0.7828 0.5000
B: 0.0000 0.0000 0.0000
Se: 0.0000 0.5000 0.5000
Se: 0.5000 0.0000 0.5000
Se: 0.5000 0.5000 0.0000

Principal peaks in the range 2θ from 10° to 80°, low angle first:
2θ/deg, I/Imax
25.90, 28
26.49, 30
30.34, 100
43.43, 47
54.55, 13
71.61, 17